This entry pairs a crystal structure of CuAg2SbO4 with its computed powder diffraction line list. Radiation: Cu Kα. Structure: a cell relaxed with GGA-PBE.

Cell lengths 5.203, 5.204, 5.942 Å; angles 64.08, 64.04, 89.99 degrees
Space group P1 (No. 1)
Inequivalent atoms, fractional coordinates:
1 Cu 0.000 0.000 0.000 (multiplicity 1)
2 Ag 0.250 0.751 0.500 (multiplicity 1)
3 Ag 0.500 0.501 0.000 (multiplicity 1)
4 Sb 0.751 0.251 0.500 (multiplicity 1)
5 O 0.054 0.127 0.255 (multiplicity 1)
6 O 0.383 0.948 0.744 (multiplicity 1)
7 O 0.691 0.619 0.256 (multiplicity 1)
8 O 0.874 0.310 0.744 (multiplicity 1)

Top 8 peaks for 2θ from 10° to 80°, low angle first:
30.9 deg, I = 100.0; 34.5 deg, I = 27.5; 38.6 deg, I = 9.5; 49.6 deg, I = 15.0; 52.7 deg, I = 25.8; 59.6 deg, I = 28.4; 64.5 deg, I = 9.3; 65.1 deg, I = 10.8

This entry pairs a crystal structure of Cu2AgSe2O10 with its computed powder diffraction line list. Radiation: Cu Kα. Structure: a cell relaxed with GGA-PBE.

Cell lengths 9.512, 6.141, 8.214 Å; angles 90.00, 121.73, 90.00 degrees
Space group C2/m (No. 12)
Inequivalent atoms, fractional coordinates:
1 Cu 0.250 0.250 0.000 (multiplicity 4)
2 Ag 0.000 0.000 0.500 (multiplicity 2)
3 Se 0.078 0.500 0.299 (multiplicity 4)
4 O 0.046 0.270 0.756 (multiplicity 8)
5 O 0.171 0.500 0.176 (multiplicity 4)
6 O 0.176 0.000 0.042 (multiplicity 4)
7 O 0.208 0.500 0.531 (multiplicity 4)

Top 8 peaks for 2θ from 10° to 80°, low angle first:
18.5 deg, I = 56.4; 23.3 deg, I = 47.3; 26.2 deg, I = 100.0; 30.8 deg, I = 68.2; 31.8 deg, I = 67.2; 32.1 deg, I = 69.6; 32.8 deg, I = 45.7; 51.0 deg, I = 40.7

This entry pairs a crystal structure of Sr2CuAg2O6 with its computed powder diffraction line list. Radiation: Cu Kα. Structure: a cell relaxed with GGA-PBE.

Cell lengths 6.0829, 6.0829, 15.7544 Å; angles 90.00, 90.00, 120.00 degrees
Space group R-3m (No. 166, hexagonal axes)
Inequivalent atoms, fractional coordinates:
1 Sr 0.0000 0.0000 0.2099 (multiplicity 6)
2 Cu 0.0000 0.0000 0.0000 (multiplicity 3)
3 Ag 0.0000 0.0000 0.4100 (multiplicity 6)
4 O 0.0547 0.5273 0.7494 (multiplicity 18)

Top 8 peaks for 2θ from 10° to 80°, low angle first:
29.4 deg, I = 100.0; 33.1 deg, I = 67.5; 44.9 deg, I = 31.0; 52.1 deg, I = 18.4; 54.5 deg, I = 39.9; 60.9 deg, I = 16.4; 61.4 deg, I = 10.3; 71.1 deg, I = 14.3

This entry pairs a crystal structure of Tb2CuAgO5 with its computed powder diffraction line list. Radiation: Cu Kα. Structure: a cell relaxed with GGA-PBE.

Cell lengths 6.568, 6.568, 5.488 Å; angles 90.00, 90.00, 90.00 degrees
Space group P4/mbm (No. 127)
Inequivalent atoms, fractional coordinates:
1 Tb 0.176 0.324 0.000 (multiplicity 4)
2 Cu 0.000 0.500 0.500 (multiplicity 2)
3 Ag 0.000 0.000 0.500 (multiplicity 2)
4 O 0.000 0.000 0.000 (multiplicity 2)
5 O 0.132 0.632 0.252 (multiplicity 8)

Top 8 peaks for 2θ from 10° to 80°, low angle first:
16.1 deg, I = 22.6; 30.4 deg, I = 27.0; 31.8 deg, I = 100.0; 32.6 deg, I = 36.9; 34.6 deg, I = 64.4; 38.8 deg, I = 22.5; 45.2 deg, I = 43.8; 51.6 deg, I = 19.0

This entry pairs a crystal structure of CuAg4TeO6 with its computed powder diffraction line list. Radiation: Cu Kα. Structure: a cell relaxed with GGA-PBE.

Cell lengths 11.437, 9.841, 5.885 Å; angles 90.00, 99.11, 90.00 degrees
Space group C2/c (No. 15)
Inequivalent atoms, fractional coordinates:
1 Cu 0.000 0.084 0.250 (multiplicity 4)
2 Ag 0.000 0.429 0.250 (multiplicity 4)
3 Ag 0.235 0.412 0.034 (multiplicity 8)
4 Ag 0.250 0.250 0.500 (multiplicity 4)
5 Te 0.000 0.222 0.750 (multiplicity 4)
6 O 0.073 0.224 0.079 (multiplicity 8)
7 O 0.105 0.070 0.681 (multiplicity 8)
8 O 0.117 0.360 0.690 (multiplicity 8)

Top 8 peaks for 2θ from 10° to 80°, low angle first:
31.7 deg, I = 58.2; 32.3 deg, I = 48.4; 32.9 deg, I = 100.0; 37.0 deg, I = 59.4; 38.0 deg, I = 95.0; 53.7 deg, I = 45.2; 54.5 deg, I = 26.9; 64.1 deg, I = 36.7

This entry pairs a crystal structure of CuAg2TeO4 with its computed powder diffraction line list. Radiation: Cu Kα. Structure: a cell relaxed with GGA-PBE.

Cell lengths 4.813, 5.179, 5.947 Å; angles 107.05, 112.92, 91.33 degrees
Space group P1 (No. 1)
Inequivalent atoms, fractional coordinates:
1 Cu 0.000 0.000 0.000 (multiplicity 1)
2 Ag 0.645 0.428 0.967 (multiplicity 1)
3 Ag 0.897 0.259 0.461 (multiplicity 1)
4 Te 0.444 0.677 0.413 (multiplicity 1)
5 O 0.069 0.806 0.238 (multiplicity 1)
6 O 0.314 0.594 0.649 (multiplicity 1)
7 O 0.343 0.292 0.164 (multiplicity 1)
8 O 0.739 0.037 0.689 (multiplicity 1)

Top 8 peaks for 2θ from 10° to 80°, low angle first:
29.1 deg, I = 76.3; 29.4 deg, I = 100.0; 31.9 deg, I = 82.9; 32.6 deg, I = 63.1; 34.7 deg, I = 47.7; 35.1 deg, I = 44.8; 41.5 deg, I = 51.5; 46.0 deg, I = 44.6

This entry pairs a crystal structure of Cu4AgTe3O12 with its computed powder diffraction line list. Radiation: Cu Kα. Structure: a cell relaxed with GGA-PBE.

Cell lengths 11.1832, 11.1832, 7.5573 Å; angles 90.00, 90.00, 120.00 degrees
Space group R32 (No. 155, hexagonal axes)
Inequivalent atoms, fractional coordinates:
1 Cu 0.0000 0.0000 0.0000 (multiplicity 3)
2 Cu 0.0000 0.3812 0.0000 (multiplicity 9)
3 Ag 0.0000 0.0000 0.5000 (multiplicity 3)
4 Te 0.0000 0.5694 0.5000 (multiplicity 9)
5 O 0.0000 0.6000 0.0000 (multiplicity 9)
6 O 0.0000 0.8272 0.0000 (multiplicity 9)
7 O 0.0671 0.2148 0.7067 (multiplicity 18)

Top 8 peaks for 2θ from 10° to 80°, low angle first:
21.8 deg, I = 46.9; 27.1 deg, I = 54.3; 27.6 deg, I = 51.8; 30.0 deg, I = 100.0; 35.5 deg, I = 39.1; 39.2 deg, I = 32.9; 47.5 deg, I = 28.4; 53.1 deg, I = 30.5